(1)
This entry pairs a crystal structure of RbNa2Tl10 with its calculated powder X-ray diffraction pattern. Radiation: Cu Kα X-rays. Structure: a structure optimized by DFT (GGA-PBE).

Top 10 peaks for 5° ≤ 2θ ≤ 70°, in order of rising 2θ:
| index | 2θ (°) | I_rel |
| --- | --- | --- |
| 0 0 1 | 11.14 | 89 |
| 2 1 1 | 26.95 | 50 |
| 2 2 2 | 31.45 | 35 |
| 1 0 -2 | 31.68 | 76 |
| 1 3 1 | 31.80 | 76 |
| 0 2 -2 | 31.86 | 69 |
| 2 -1 1 | 35.22 | 56 |
| 2 1 3 | 35.38 | 52 |
| 1 -1 3 | 35.57 | 50 |
| 1 3 -1 | 35.72 | 100 |

Crystal structure
Lattice parameters (Å, degrees): 6.6180 8.5864 8.5972 81.65 67.49 67.74
Space group P-1 (No. 2)
Unique sites:
Rb1 0.0000 0.0000 0.0000 x1
Na1 0.0000 0.5000 0.0000 x1
Na2 0.5000 0.5000 0.0000 x1
Tl1 0.0000 0.0000 0.5000 x1
Tl2 0.0021 0.3582 0.6444 x2
Tl3 0.2787 0.2220 0.2198 x2
Tl4 0.3534 0.6420 0.6440 x2
Tl5 0.4988 0.2225 0.7801 x2
Tl6 0.5000 0.0000 0.5000 x1

***

(2)
This entry pairs a crystal structure of Rb2Na6Tl9 with its calculated powder X-ray diffraction pattern. Radiation: Cu Kα X-rays. Structure: a structure optimized by DFT (GGA-PBE).

Top 10 peaks for 5° ≤ 2θ ≤ 70°, in order of rising 2θ:
| index | 2θ (°) | I_rel |
| --- | --- | --- |
| 1 0 0 | 15.53 | 32 |
| 0 0 3 | 16.01 | 85 |
| 1 0 3 | 22.38 | 54 |
| 2 0 0 | 31.36 | 86 |
| 1 1 3 | 31.61 | 40 |
| 0 0 6 | 32.34 | 33 |
| 2 0 3 | 35.40 | 100 |
| 2 0 6 | 45.67 | 61 |
| 2 0 9 | 59.67 | 23 |
| 2 2 6 | 66.01 | 25 |

Crystal structure
Lattice parameters (Å, degrees): 6.5876 6.5876 16.6091 90.00 90.00 120.00
Space group P6/mmm (No. 191)
Unique sites:
Rb1 0.0000 0.0000 0.1603 x2
Na1 0.3333 0.6667 0.1657 x4
Na2 0.3333 0.6667 0.5000 x2
Tl1 0.0000 0.5000 0.0000 x3
Tl2 0.0000 0.5000 0.3313 x6

***

(3)
This entry pairs a crystal structure of RbNa8Tl6 with its calculated powder X-ray diffraction pattern. Radiation: Cu Kα X-rays. Structure: a structure optimized by DFT (GGA-PBE).

Top 10 peaks for 5° ≤ 2θ ≤ 70°, in order of rising 2θ:
| index | 2θ (°) | I_rel |
| --- | --- | --- |
| 1 0 0 | 9.46 | 32 |
| 0 0 1 | 17.70 | 48 |
| 2 1 0 | 25.21 | 64 |
| 2 1 1 | 30.97 | 100 |
| 1 3 0 | 34.60 | 12 |
| 0 0 2 | 35.84 | 16 |
| 1 3 1 | 39.12 | 10 |
| 2 1 2 | 44.35 | 40 |
| 1 4 1 | 48.17 | 17 |
| 2 1 3 | 61.39 | 14 |

Crystal structure
Lattice parameters (Å, degrees): 10.7923 10.7923 5.0115 90.00 90.00 120.00
Space group P6/m (No. 175)
Unique sites:
Rb1 0.0000 0.0000 0.0000 x1
Na1 0.0552 0.3586 0.5000 x6
Na2 0.3333 0.6667 0.5000 x2
Tl1 0.1510 0.6824 0.0000 x6

***

(4)
This entry pairs a crystal structure of Rb2Na3Tl9 with its calculated powder X-ray diffraction pattern. Radiation: Cu Kα X-rays. Structure: a structure optimized by DFT (GGA-PBE).

Top 10 peaks for 5° ≤ 2θ ≤ 70°, in order of rising 2θ:
| index | 2θ (°) | I_rel |
| --- | --- | --- |
| 1 1 1 | 12.94 | 78 |
| 0 2 3 | 29.70 | 32 |
| 3 1 3 | 30.10 | 100 |
| 3 3 0 | 31.13 | 69 |
| 1 3 2 | 31.49 | 48 |
| 5 1 2 | 32.50 | 33 |
| 2 0 4 | 33.63 | 31 |
| 3 3 2 | 35.07 | 32 |
| 4 2 3 | 36.88 | 32 |
| 1 3 6 | 56.47 | 31 |

Crystal structure
Lattice parameters (Å, degrees): 16.6399 10.0752 11.2515 90.00 90.00 90.00
Space group Cmcm (No. 63)
Unique sites:
Rb1 0.1474 0.1714 0.2500 x8
Na1 0.0000 0.0000 0.0000 x4
Na2 0.1859 0.5000 0.0000 x8
Tl1 0.0000 0.1522 0.7500 x4
Tl2 0.0000 0.3396 0.0084 x8
Tl3 0.0972 0.4561 0.7500 x8
Tl4 0.1650 0.1814 0.5938 x16

***

(5)
This entry pairs a crystal structure of RbNa8Tl2 with its calculated powder X-ray diffraction pattern. Radiation: Cu Kα X-rays. Structure: a structure optimized by DFT (GGA-PBE).

Top 10 peaks for 5° ≤ 2θ ≤ 70°, in order of rising 2θ:
| index | 2θ (°) | I_rel |
| --- | --- | --- |
| 0 0 2 | 8.50 | 98 |
| 1 1 0 | 16.79 | 26 |
| 1 1 2 | 18.85 | 100 |
| 1 1 4 | 24.03 | 23 |
| 2 0 4 | 29.46 | 51 |
| 1 1 6 | 30.86 | 30 |
| 2 2 0 | 33.96 | 23 |
| 2 0 6 | 35.34 | 23 |
| 3 1 2 | 39.13 | 32 |
| 3 1 6 | 46.55 | 20 |

Crystal structure
Lattice parameters (Å, degrees): 7.4656 7.4656 20.7947 90.00 90.00 90.00
Space group I4/mmm (No. 139)
Unique sites:
Rb1 0.0000 0.0000 0.0000 x2
Na1 0.2496 0.2496 0.1640 x16
Tl1 0.0000 0.5000 0.2500 x4

***

(6)
This entry pairs a crystal structure of RbNa16Tl12 with its calculated powder X-ray diffraction pattern. Radiation: Cu Kα X-rays. Structure: a structure optimized by DFT (GGA-PBE).

Top 10 peaks for 5° ≤ 2θ ≤ 70°, in order of rising 2θ:
| index | 2θ (°) | I_rel |
| --- | --- | --- |
| 2 0 0 | 17.58 | 65 |
| 1 3 0 | 17.93 | 100 |
| 1 3 -1 | 18.05 | 89 |
| 4 0 -1 | 30.93 | 36 |
| 1 5 -2 | 31.41 | 81 |
| 3 1 1 | 33.93 | 52 |
| 3 5 -1 | 34.68 | 36 |
| 3 5 -2 | 34.90 | 64 |
| 3 1 -4 | 35.20 | 29 |
| 1 5 2 | 37.56 | 31 |

Crystal structure
Lattice parameters (Å, degrees): 12.1083 17.0754 10.3752 90.00 123.56 90.00
Space group Cm (No. 8)
Unique sites:
Rb1 0.0000 0.0000 0.0000 x2
Na1 0.0301 0.1449 0.2827 x4
Na2 0.0636 0.2094 0.9580 x4
Na3 0.0775 0.5000 0.6135 x2
Na4 0.0888 0.5000 0.2865 x2
Na5 0.1474 0.1495 0.6892 x4
Na6 0.2289 0.3426 0.8544 x4
Na7 0.2406 0.3290 0.2623 x4
Na8 0.2695 0.0000 0.5440 x2
Na9 0.2797 0.0000 0.9609 x2
Na10 0.3700 0.2089 0.5792 x4
Tl1 0.0808 0.3085 0.4690 x4
Tl2 0.2514 0.5000 0.0853 x2
Tl3 0.3060 0.0993 0.2816 x4
Tl4 0.3554 0.4022 0.6299 x4
Tl5 0.3898 0.1917 0.0801 x4
Tl6 0.4636 0.5000 0.4543 x2
Tl7 0.4802 0.0959 0.8804 x4

***

(7)
This entry pairs a crystal structure of Rb2Na12Tl7 with its calculated powder X-ray diffraction pattern. Radiation: Cu Kα X-rays. Structure: a structure optimized by DFT (GGA-PBE).

Top 10 peaks for 5° ≤ 2θ ≤ 70°, in order of rising 2θ:
| index | 2θ (°) | I_rel |
| --- | --- | --- |
| 1 0 1 | 18.12 | 46 |
| 1 1 1 | 21.65 | 44 |
| 2 1 0 | 22.07 | 58 |
| 2 0 1 | 23.22 | 100 |
| 1 2 1 | 27.43 | 39 |
| 0 0 2 | 32.48 | 43 |
| 2 2 1 | 33.36 | 85 |
| 4 0 0 | 33.64 | 38 |
| 3 1 1 | 34.43 | 46 |
| 4 0 2 | 47.47 | 36 |

Crystal structure
Lattice parameters (Å, degrees): 12.3038 12.3038 5.5131 90.00 90.00 120.00
Space group P-6 (No. 174)
Unique sites:
Rb1 0.0000 0.0000 0.0000 x1
Rb2 0.3333 0.6667 0.5000 x1
Na1 0.1808 0.7881 0.0000 x3
Na2 0.2911 0.0040 0.5000 x3
Na3 0.3685 0.2032 0.0000 x3
Na4 0.5462 0.3939 0.5000 x3
Tl1 0.9999 0.4836 0.0000 x3
Tl2 0.0170 0.7490 0.5000 x3
Tl3 0.6667 0.3333 0.0000 x1

***

(8)
This entry pairs a crystal structure of RbNa6Tl2 with its calculated powder X-ray diffraction pattern. Radiation: Cu Kα X-rays. Structure: a structure optimized by DFT (GGA-PBE).

Top 10 peaks for 5° ≤ 2θ ≤ 70°, in order of rising 2θ:
| index | 2θ (°) | I_rel |
| --- | --- | --- |
| 0 0 1 | 8.37 | 100 |
| 1 0 0 | 15.54 | 76 |
| 1 1 0 | 22.04 | 68 |
| 1 1 1 | 23.62 | 59 |
| 1 0 3 | 29.83 | 68 |
| 2 0 0 | 31.37 | 60 |
| 1 1 3 | 33.80 | 37 |
| 1 0 4 | 37.55 | 37 |
| 2 1 3 | 43.84 | 48 |
| 2 1 4 | 49.71 | 33 |

Crystal structure
Lattice parameters (Å, degrees): 5.7025 5.7025 10.5589 90.00 90.00 90.00
Space group P4/mmm (No. 123)
Unique sites:
Rb1 0.0000 0.0000 0.0000 x1
Na1 0.0000 0.0000 0.5000 x1
Na2 0.0000 0.5000 0.2896 x4
Na3 0.5000 0.5000 0.5000 x1
Tl1 0.5000 0.5000 0.1429 x2

***

(9)
This entry pairs a crystal structure of RbNa2Tl2 with its calculated powder X-ray diffraction pattern. Radiation: Cu Kα X-rays. Structure: a structure optimized by DFT (GGA-PBE).

Top 10 peaks for 5° ≤ 2θ ≤ 70°, in order of rising 2θ:
| index | 2θ (°) | I_rel |
| --- | --- | --- |
| 2 0 0 | 13.61 | 100 |
| 0 0 1 | 14.38 | 92 |
| 2 0 1 | 22.74 | 37 |
| 1 1 1 | 25.33 | 56 |
| 4 0 0 | 27.38 | 65 |
| 3 1 -1 | 27.80 | 66 |
| 1 1 -2 | 33.12 | 31 |
| 3 1 -2 | 35.09 | 48 |
| 0 2 0 | 36.31 | 27 |
| 1 1 2 | 36.81 | 45 |

Crystal structure
Lattice parameters (Å, degrees): 13.6914 4.9487 6.4792 90.00 108.11 90.00
Space group C2/m (No. 12)
Unique sites:
Rb1 0.0000 0.0000 0.0000 x2
Na1 0.1582 0.5000 0.5651 x4
Tl1 0.2289 0.5000 0.1258 x4

***

(10)
This entry pairs a crystal structure of RbNaY3 with its calculated powder X-ray diffraction pattern. Radiation: Cu Kα X-rays. Structure: a structure optimized by DFT (GGA-PBE).

Top 10 peaks for 5° ≤ 2θ ≤ 70°, in order of rising 2θ:
| index | 2θ (°) | I_rel |
| --- | --- | --- |
| 1 0 0 | 14.95 | 2 |
| 1 1 0 | 21.21 | 1 |
| 1 1 1 | 26.05 | 100 |
| 2 0 0 | 30.17 | 67 |
| 2 1 0 | 33.83 | 1 |
| 2 2 0 | 43.19 | 49 |
| 3 1 1 | 51.14 | 45 |
| 2 2 2 | 53.59 | 17 |
| 4 0 0 | 62.73 | 8 |
| 3 3 1 | 69.11 | 18 |

Crystal structure
Lattice parameters (Å, degrees): 5.9242 5.9242 5.9242 90.00 90.00 90.00
Space group Pm-3m (No. 221)
Unique sites:
Rb1 0.0000 0.0000 0.0000 x1
Na1 0.5000 0.5000 0.5000 x1
Y1 0.0000 0.5000 0.5000 x3

***

(11)
This entry pairs a crystal structure of NaRe with its calculated powder X-ray diffraction pattern. Radiation: Cu Kα X-rays. Structure: a structure optimized by DFT (GGA-PBE).

Top 10 peaks for 5° ≤ 2θ ≤ 70°, in order of rising 2θ:
| index | 2θ (°) | I_rel |
| --- | --- | --- |
| 0 0 1 | 12.94 | 100 |
| 0 0 2 | 26.05 | 13 |
| 1 0 2 | 33.45 | 21 |
| 1 3 0 | 39.97 | 15 |
| 2 0 0 | 41.95 | 11 |
| 1 3 1 | 42.18 | 33 |
| 2 0 1 | 44.08 | 10 |
| 1 0 3 | 44.98 | 8 |
| 1 3 2 | 48.34 | 11 |
| 0 3 3 | 53.00 | 7 |

Crystal structure
Lattice parameters (Å, degrees): 4.3077 7.9430 6.8401 90.00 90.00 90.00
Space group Pmmn (No. 59, origin choice 2)
Unique sites:
Na1 0.2500 0.0830 0.1496 x4
Na2 0.2500 0.7500 0.1064 x2
Re1 0.2500 0.2500 0.5951 x2
Re2 0.2500 0.5817 0.5468 x4

***

(12)
This entry pairs a crystal structure of NaRe4S7 with its calculated powder X-ray diffraction pattern. Radiation: Cu Kα X-rays. Structure: a structure optimized by DFT (GGA-PBE).

Top 10 peaks for 5° ≤ 2θ ≤ 70°, in order of rising 2θ:
| index | 2θ (°) | I_rel |
| --- | --- | --- |
| 2 0 0 | 11.39 | 100 |
| 1 0 1 | 14.27 | 96 |
| 3 0 1 | 21.60 | 83 |
| 2 1 1 | 24.39 | 33 |
| 0 0 2 | 26.34 | 40 |
| 4 1 1 | 31.61 | 62 |
| 5 1 2 | 43.15 | 27 |
| 0 2 2 | 43.78 | 34 |
| 7 1 0 | 44.34 | 27 |
| 7 1 2 | 52.31 | 31 |

Crystal structure
Lattice parameters (Å, degrees): 15.5411 5.2204 6.7674 90.00 90.00 90.00
Space group Pmn2_1 (No. 31)
Unique sites:
Na1 0.0000 0.2425 0.0000 x2
Re1 0.1362 0.1928 0.5500 x4
Re2 0.2106 0.7046 0.5802 x4
S1 0.0000 0.3425 0.5545 x2
S2 0.0973 0.8561 0.7594 x4
S3 0.1615 0.1717 0.2197 x4
S4 0.2259 0.3535 0.7834 x4